[1]
Structure and simulated PXRD pattern of Ac5La2Rh4 (a structure optimized by DFT (GGA-PBE); λ = 1.5418 Å (Cu Kα)).
Lines closer than 0.1° are merged.

Most intense lines, 2θ from 10° to 90°, low angle first:
2θ/deg  I_rel  index
26.0  62  0 1 2
27.6  87  1 0 1
28.2  42  0 2 -3
29.9  75  0 3 -1
31.2  100  1 0 -3
32.9  26  1 2 -2
35.3  32  1 2 -3
36.7  28  -1 3 1
42.3  30  1 2 1
43.2  43  -2 1 1
45.2  25  0 3 2
53.4  43  2 2 -2

```
data_Ac5La2Rh4
_cell_length_a 4.187
_cell_length_b 9.283
_cell_length_c 10.293
_cell_angle_alpha 110.76
_cell_angle_beta 101.73
_cell_angle_gamma 103.02
_space_group_name_H-M_alt 'P -1'
_space_group_IT_number 2
loop_
_space_group_symop_operation_xyz
'x,y,z'
'-x,-y,-z'
loop_
_atom_site_label
_atom_site_type_symbol
_atom_site_fract_x
_atom_site_fract_y
_atom_site_fract_z
Ac1 Ac 0.000 0.000 0.000
Ac2 Ac 0.086 0.323 0.850
Ac3 Ac 0.253 0.895 0.611
La1 La 0.360 0.419 0.299
Rh1 Rh 0.312 0.704 0.919
Rh2 Rh 0.427 0.240 0.614
```


[2]
Structure and simulated PXRD pattern of Ac2La2Rh (a structure optimized by DFT (GGA-PBE); λ = 1.5418 Å (Cu Kα)).
Lines closer than 0.1° are merged.

Most intense lines, 2θ from 10° to 90°, low angle first:
2θ/deg  I_rel  index
19.8  27  1 0 3
25.3  52  1 1 2
26.6  27  0 0 8
31.6  100  1 1 6
34.7  68  2 0 0
41.8  19  1 1 10
44.3  28  2 0 8
49.9  29  2 2 0
54.1  14  1 1 14
57.4  13  2 2 8
60.3  32  3 1 6
66.6  12  2 0 16

```
data_Ac2La2Rh
_cell_length_a 5.170
_cell_length_b 5.170
_cell_length_c 26.772
_cell_angle_alpha 90.00
_cell_angle_beta 90.00
_cell_angle_gamma 90.00
_space_group_name_H-M_alt 'I 41/a m d'
_space_group_IT_number 141
loop_
_space_group_symop_operation_xyz
'x,y,z'
'-x,-y,-z'
'-y+1/4,x+3/4,z+1/4'
'y+1/4,-x+3/4,-z+1/4'
'-x+1/2,-y,z+1/2'
'x+1/2,y,-z+1/2'
'y+1/4,-x+1/4,z+3/4'
'-y+1/4,x+1/4,-z+3/4'
'x,-y,-z'
'-x,y,z'
'-y+1/4,-x+1/4,-z+3/4'
'y+1/4,x+1/4,z+3/4'
'-x+1/2,y,-z+1/2'
'x+1/2,-y,z+1/2'
'y+1/4,x+3/4,-z+1/4'
'-y+1/4,-x+3/4,z+1/4'
'x+1/2,y+1/2,z+1/2'
'-x+1/2,-y+1/2,-z+1/2'
'-y+3/4,x+1/4,z+3/4'
'y+3/4,-x+1/4,-z+3/4'
'-x,-y+1/2,z'
'x,y+1/2,-z'
'y+3/4,-x+3/4,z+1/4'
'-y+3/4,x+3/4,-z+1/4'
'x+1/2,-y+1/2,-z+1/2'
'-x+1/2,y+1/2,z+1/2'
'-y+3/4,-x+3/4,-z+1/4'
'y+3/4,x+3/4,z+1/4'
'-x,y+1/2,-z'
'x,-y+1/2,z'
'y+3/4,x+1/4,-z+3/4'
'-y+3/4,-x+1/4,z+3/4'
loop_
_atom_site_label
_atom_site_type_symbol
_atom_site_fract_x
_atom_site_fract_y
_atom_site_fract_z
Ac1 Ac 0.000 0.250 0.054
La1 La 0.000 0.250 0.186
Rh1 Rh 0.000 0.250 0.375
```


[3]
Structure and simulated PXRD pattern of AcLa5Rh3 (a structure optimized by DFT (GGA-PBE); λ = 1.5418 Å (Cu Kα)).
Lines closer than 0.1° are merged.

Most intense lines, 2θ from 10° to 90°, low angle first:
2θ/deg  I_rel  index
18.5  46  1 0 3
26.0  28  0 0 6
27.5  100  1 1 -3
27.9  98  1 1 3
28.8  37  2 0 -3
29.4  30  2 0 3
35.7  52  1 1 -6
36.2  38  1 1 6
36.5  26  2 0 -6
37.5  27  2 0 6
42.0  37  0 2 0
44.8  84  3 1 0

```
data_AcLa5Rh3
_cell_length_a 6.872
_cell_length_b 4.303
_cell_length_c 20.602
_cell_angle_alpha 90.00
_cell_angle_beta 91.46
_cell_angle_gamma 90.00
_space_group_name_H-M_alt 'P 1 2/m 1'
_space_group_IT_number 10
loop_
_space_group_symop_operation_xyz
'x,y,z'
'-x,-y,-z'
'-x,y,-z'
'x,-y,z'
loop_
_atom_site_label
_atom_site_type_symbol
_atom_site_fract_x
_atom_site_fract_y
_atom_site_fract_z
Ac1 Ac 0.202 0.000 0.266
La1 La 0.174 0.000 0.929
La2 La 0.219 0.000 0.603
La3 La 0.284 0.500 0.438
La4 La 0.299 0.500 0.768
La5 La 0.326 0.500 0.094
Rh1 Rh 0.000 0.500 0.000
Rh2 Rh 0.014 0.500 0.663
Rh3 Rh 0.486 0.000 0.836
Rh4 Rh 0.500 0.000 0.500
```


[4]
Structure and simulated PXRD pattern of AcLa6Rh4 (a structure optimized by DFT (GGA-PBE); λ = 1.5418 Å (Cu Kα)).
Lines closer than 0.1° are merged.

Most intense lines, 2θ from 10° to 90°, low angle first:
2θ/deg  I_rel  index
25.7  37  1 3 0
27.5  66  1 3 -1
29.1  100  2 0 1
29.5  93  2 0 -2
30.5  40  1 3 1
31.0  80  0 4 0
33.0  77  2 2 1
33.4  72  2 2 -2
33.9  29  0 4 1
43.1  81  4 0 -1
43.7  58  0 2 3
55.2  30  0 0 4

```
data_AcLa6Rh4
_cell_length_a 8.398
_cell_length_b 11.540
_cell_length_c 6.958
_cell_angle_alpha 90.00
_cell_angle_beta 106.75
_cell_angle_gamma 90.00
_space_group_name_H-M_alt 'C 1 m 1'
_space_group_IT_number 8
loop_
_space_group_symop_operation_xyz
'x,y,z'
'x,-y,z'
'x+1/2,y+1/2,z'
'x+1/2,-y+1/2,z'
loop_
_atom_site_label
_atom_site_type_symbol
_atom_site_fract_x
_atom_site_fract_y
_atom_site_fract_z
Ac1 Ac 0.000 0.000 0.000
La1 La 0.130 0.239 0.523
La2 La 0.337 0.500 0.433
La3 La 0.373 0.000 0.410
La4 La 0.494 0.162 0.971
Rh1 Rh 0.159 0.500 0.720
Rh2 Rh 0.197 0.000 0.697
Rh3 Rh 0.312 0.256 0.239
```


[5]
Structure and simulated PXRD pattern of AcLa4Rh3 (a structure optimized by DFT (GGA-PBE); λ = 1.5418 Å (Cu Kα)).
Lines closer than 0.1° are merged.

Most intense lines, 2θ from 10° to 90°, low angle first:
2θ/deg  I_rel  index
18.0  14  2 0 -2
26.4  13  4 0 -2
27.7  48  2 2 -1
28.2  100  3 1 1
36.2  30  4 2 -2
36.5  26  3 1 -4
36.7  26  5 1 0
43.1  41  1 3 2
44.1  19  2 0 4
47.5  11  6 2 -3
47.7  11  5 1 -5
47.9  11  7 1 -1

```
data_AcLa4Rh3
_cell_length_a 14.080
_cell_length_b 7.328
_cell_length_c 10.651
_cell_angle_alpha 90.00
_cell_angle_beta 112.56
_cell_angle_gamma 90.00
_space_group_name_H-M_alt 'C 1 c 1'
_space_group_IT_number 9
loop_
_space_group_symop_operation_xyz
'x,y,z'
'x,-y,z+1/2'
'x+1/2,y+1/2,z'
'x+1/2,-y+1/2,z+1/2'
loop_
_atom_site_label
_atom_site_type_symbol
_atom_site_fract_x
_atom_site_fract_y
_atom_site_fract_z
Ac1 Ac 0.000 0.176 0.000
La1 La 0.102 0.333 0.688
La2 La 0.199 0.165 0.401
La3 La 0.290 0.338 0.106
La4 La 0.394 0.177 0.801
Rh1 Rh 0.093 0.491 0.431
Rh2 Rh 0.202 0.000 0.153
Rh3 Rh 0.296 0.497 0.860
```


[6]
Structure and simulated PXRD pattern of AcLa3Rh3 (a structure optimized by DFT (GGA-PBE); λ = 1.5418 Å (Cu Kα)).
Lines closer than 0.1° are merged.

Most intense lines, 2θ from 10° to 90°, low angle first:
2θ/deg  I_rel  index
18.4  17  2 1 1
26.2  21  2 2 2
28.3  7  3 2 1
30.3  100  4 0 0
41.9  7  5 2 1
43.4  74  4 4 0
47.5  5  5 3 2
51.3  10  6 2 2
53.8  26  4 4 4
63.0  12  8 0 0
71.5  32  8 4 0
79.6  24  8 4 4

```
data_AcLa3Rh3
_cell_length_a 11.804
_cell_length_b 11.804
_cell_length_c 11.804
_cell_angle_alpha 90.00
_cell_angle_beta 90.00
_cell_angle_gamma 90.00
_space_group_name_H-M_alt 'I -4 3 m'
_space_group_IT_number 217
_space_group_name_Hall 'I -4 2 3'
loop_
_atom_site_label
_atom_site_type_symbol
_atom_site_fract_x
_atom_site_fract_y
_atom_site_fract_z
Ac1 Ac 0.128 0.128 0.872
La1 La 0.117 0.373 0.627
Rh1 Rh 0.122 0.122 0.629
```


[7]
Structure and simulated PXRD pattern of AcLa4S7 (a structure optimized by DFT (GGA-PBE); λ = 1.5418 Å (Cu Kα)).
Lines closer than 0.1° are merged.

Most intense lines, 2θ from 10° to 90°, low angle first:
2θ/deg  I_rel  index
22.6  100  2 0 2
22.8  43  1 1 0
23.1  86  2 0 -3
24.6  45  1 1 1
25.7  45  4 0 -1
29.3  59  3 1 -1
30.9  66  3 1 -2
32.0  40  3 1 1
36.9  32  1 1 -4
39.9  36  1 1 4
44.0  27  6 0 -4
44.4  33  0 2 0

```
data_AcLa4S7
_cell_length_a 13.891
_cell_length_b 4.077
_cell_length_c 12.143
_cell_angle_alpha 90.00
_cell_angle_beta 105.26
_cell_angle_gamma 90.00
_space_group_name_H-M_alt 'C 1 m 1'
_space_group_IT_number 8
loop_
_space_group_symop_operation_xyz
'x,y,z'
'x,-y,z'
'x+1/2,y+1/2,z'
'x+1/2,-y+1/2,z'
loop_
_atom_site_label
_atom_site_type_symbol
_atom_site_fract_x
_atom_site_fract_y
_atom_site_fract_z
Ac1 Ac 0.000 0.000 0.000
La1 La 0.113 0.000 0.422
La2 La 0.223 0.000 0.835
La3 La 0.312 0.500 0.236
La4 La 0.412 0.000 0.606
S1 S 0.064 0.000 0.633
S2 S 0.114 0.500 0.915
S3 S 0.161 0.000 0.210
S4 S 0.270 0.500 0.470
S5 S 0.349 0.500 0.767
S6 S 0.367 0.000 0.068
S7 S 0.455 0.000 0.370
```


[8]
Structure and simulated PXRD pattern of Ac5LaS6 (a structure optimized by DFT (GGA-PBE); λ = 1.5418 Å (Cu Kα)).
Lines closer than 0.1° are merged.

Most intense lines, 2θ from 10° to 90°, low angle first:
2θ/deg  I_rel  index
25.5  97  2 0 0
29.5  100  1 3 1
42.2  63  0 6 0
42.3  13  2 0 2
49.9  34  2 6 0
50.0  17  3 3 1
52.3  14  2 6 -2
52.4  13  4 0 0
67.3  11  4 6 -2
69.4  29  4 6 0
77.1  13  4 6 -4
77.3  9  5 3 1

```
data_Ac5LaS6
_cell_length_a 7.415
_cell_length_b 12.862
_cell_length_c 7.417
_cell_angle_alpha 90.00
_cell_angle_beta 109.66
_cell_angle_gamma 90.00
_space_group_name_H-M_alt 'C 1 2/m 1'
_space_group_IT_number 12
loop_
_space_group_symop_operation_xyz
'x,y,z'
'-x,-y,-z'
'-x,y,-z'
'x,-y,z'
'x+1/2,y+1/2,z'
'-x+1/2,-y+1/2,-z'
'-x+1/2,y+1/2,-z'
'x+1/2,-y+1/2,z'
loop_
_atom_site_label
_atom_site_type_symbol
_atom_site_fract_x
_atom_site_fract_y
_atom_site_fract_z
Ac1 Ac 0.000 0.000 0.000
Ac2 Ac 0.000 0.166 0.500
Ac3 Ac 0.000 0.332 0.000
La1 La 0.000 0.500 0.500
S1 S 0.246 0.336 0.746
S2 S 0.246 0.500 0.252
```


[9]
Structure and simulated PXRD pattern of Ac2LaScS6 (a structure optimized by DFT (GGA-PBE); λ = 1.5418 Å (Cu Kα)).
Lines closer than 0.1° are merged.

Most intense lines, 2θ from 10° to 90°, low angle first:
2θ/deg  I_rel  index
19.3  33  1 1 0
19.6  33  1 1 -2
24.5  100  1 1 1
24.9  100  1 1 -3
25.2  38  0 2 1
25.6  45  2 0 -2
29.5  34  2 1 -1
35.1  32  2 2 -2
35.4  37  0 0 4
35.7  31  0 2 3
39.2  30  1 3 -2
45.0  30  3 1 -5

```
data_Ac2LaScS6
_cell_length_a 6.955
_cell_length_b 7.539
_cell_length_c 12.193
_cell_angle_alpha 90.00
_cell_angle_beta 123.64
_cell_angle_gamma 90.00
_space_group_name_H-M_alt 'P 1 21/c 1'
_space_group_IT_number 14
loop_
_space_group_symop_operation_xyz
'x,y,z'
'-x,-y,-z'
'-x,y+1/2,-z+1/2'
'x,-y+1/2,z+1/2'
loop_
_atom_site_label
_atom_site_type_symbol
_atom_site_fract_x
_atom_site_fract_y
_atom_site_fract_z
Ac1 Ac 0.217 0.086 0.249
La1 La 0.500 0.000 0.000
Sc1 Sc 0.000 0.000 0.500
S1 S 0.106 0.201 0.933
S2 S 0.238 0.681 0.937
S3 S 0.364 0.045 0.736
```


[10]
Structure and simulated PXRD pattern of Ac4LaSm3S8 (a structure optimized by DFT (GGA-PBE); λ = 1.5418 Å (Cu Kα)).
Lines closer than 0.1° are merged.

Most intense lines, 2θ from 10° to 90°, low angle first:
2θ/deg  I_rel  index
25.9  23  0 0 6
26.2  68  2 0 2
30.3  100  0 2 4
43.2  37  2 0 8
43.5  37  2 2 0
51.1  12  0 2 10
51.3  24  2 2 6
53.9  20  4 0 4
63.0  12  0 4 8
71.2  17  2 2 12
71.7  17  2 4 4
79.6  13  4 2 8

```
data_Ac4LaSm3S8
_cell_length_a 8.3228
_cell_length_b 8.3228
_cell_length_c 20.6042
_cell_angle_alpha 90.00
_cell_angle_beta 90.00
_cell_angle_gamma 120.00
_space_group_name_H-M_alt 'R -3 m'
_space_group_IT_number 166
_space_group_name_Hall '-R 3 2"'
loop_
_atom_site_label
_atom_site_type_symbol
_atom_site_fract_x
_atom_site_fract_y
_atom_site_fract_z
Ac1 Ac 0.0000 0.0000 0.0000
Ac2 Ac 0.0000 0.5000 0.0000
La1 La 0.0000 0.0000 0.5000
Sm1 Sm 0.0000 0.5000 0.5000
S1 S 0.0000 0.0000 0.2430
S2 S 0.0050 0.5025 0.7560
```


[11]
Structure and simulated PXRD pattern of SrAc3La2S6 (a structure optimized by DFT (GGA-PBE); λ = 1.5418 Å (Cu Kα)).
Lines closer than 0.1° are merged.

Most intense lines, 2θ from 10° to 90°, low angle first:
2θ/deg  I_rel  index
12.8  12  0 0 1
24.6  9  1 3 0
25.7  85  0 0 2
29.7  100  1 3 1
42.6  75  0 6 0
50.4  44  1 3 3
52.8  26  4 0 0
61.7  12  2 6 2
68.0  18  2 0 4
70.0  34  4 6 0
77.9  25  6 0 -2
83.6  11  0 0 6

```
data_SrAc3La2S6
_cell_length_a 7.358
_cell_length_b 12.751
_cell_length_c 7.358
_cell_angle_alpha 90.00
_cell_angle_beta 109.42
_cell_angle_gamma 90.00
_space_group_name_H-M_alt 'C 1 2/m 1'
_space_group_IT_number 12
loop_
_space_group_symop_operation_xyz
'x,y,z'
'-x,-y,-z'
'-x,y,-z'
'x,-y,z'
'x+1/2,y+1/2,z'
'-x+1/2,-y+1/2,-z'
'-x+1/2,y+1/2,-z'
'x+1/2,-y+1/2,z'
loop_
_atom_site_label
_atom_site_type_symbol
_atom_site_fract_x
_atom_site_fract_y
_atom_site_fract_z
Sr1 Sr 0.000 0.000 0.000
Ac1 Ac 0.000 0.166 0.500
Ac2 Ac 0.000 0.500 0.500
La1 La 0.000 0.334 0.000
S1 S 0.246 0.500 0.240
S2 S 0.247 0.167 0.241
```


[12]
Structure and simulated PXRD pattern of AcLa2TbS6 (a structure optimized by DFT (GGA-PBE); λ = 1.5418 Å (Cu Kα)).
Lines closer than 0.1° are merged.

Most intense lines, 2θ from 10° to 90°, low angle first:
2θ/deg  I_rel  index
16.8  36  0 1 2
23.4  100  1 0 4
24.3  96  1 1 0
28.1  18  0 0 6
34.0  51  0 2 4
37.5  58  1 1 6
42.2  52  2 1 4
42.8  45  3 0 0
49.9  33  1 0 10
55.8  18  4 -3 4
58.2  15  4 -2 6
62.2  16  3 -1 10

```
data_AcLa2TbS6
_cell_length_a 7.3159
_cell_length_b 7.3159
_cell_length_c 19.0644
_cell_angle_alpha 90.00
_cell_angle_beta 90.00
_cell_angle_gamma 120.00
_space_group_name_H-M_alt 'R 3'
_space_group_IT_number 146
_space_group_name_Hall 'R 3'
loop_
_atom_site_label
_atom_site_type_symbol
_atom_site_fract_x
_atom_site_fract_y
_atom_site_fract_z
Ac1 Ac 0.0000 0.0000 0.0000
La1 La 0.0000 0.0000 0.2113
La2 La 0.0000 0.0000 0.7166
Tb1 Tb 0.0000 0.0000 0.5085
S1 S 0.0177 0.3114 0.1096
S2 S 0.0565 0.6789 0.2743
```